Diffraction record for Sm2PuThAs4. The powder X-ray diffraction pattern is calculated, not measured: it uses the GGA-PBE geometry in Alexandria and Cu Kα.
Neutral-atom scattering factors, no anomalous dispersion.

Crystal structure
```
data_Sm2PuThAs4
_space_group_name_H-M_alt 'P 1 2/m 1'
_space_group_IT_number 10
_space_group_name_Hall '-P 2y'
_cell_length_a 7.2877
_cell_length_b 4.2169
_cell_length_c 7.2952
_cell_angle_alpha 90.00
_cell_angle_beta 109.54
_cell_angle_gamma 90.00
loop_
_atom_site_label
_atom_site_type_symbol
_atom_site_fract_x
_atom_site_fract_y
_atom_site_fract_z
Sm1 Sm 0.0000 0.0000 0.0000
Sm2 Sm 0.5000 0.5000 0.0000
Pu1 Pu 0.0000 0.5000 0.5000
Th1 Th 0.5000 0.0000 0.5000
As1 As 0.2457 0.0000 0.7459
As2 As 0.2483 0.5000 0.2508
```

Peak list (10 most intense, 10° ≤ 2θ ≤ 80°, low angle first)
25.91°, I 33, (2 0 0); 30.01°, I 100, (1 1 1); 42.94°, I 63, (0 2 0); 43.01°, I 13, (2 0 2); 50.85°, I 17, (3 1 1); 53.25°, I 20, (0 0 4); 62.36°, I 13, (2 2 2); 70.70°, I 17, (1 3 1); 70.79°, I 17, (4 2 0); 78.65°, I 15, (4 2 -4)